[1]
This entry pairs a crystal structure of HgPdS2O8 with its computed powder diffraction line list. Radiation: Cu Kα. Structure: a crystal structure in Alexandria, relaxed with PBE.
Kinematic intensities with the Lorentz-polarization factor, no thermal factor.

Crystal structure
```
12
Lattice="2.4260 1.4007 7.5428 -2.4260 1.4007 7.5428 0.0000 -2.8013 7.5428" Properties=species:S:1:pos:R:3 pbc="T T T"
Hg 0.0000 0.0000 0.0000
Pd 0.0000 0.0000 11.3142
S 0.0000 0.0000 5.7088
S 0.0000 0.0000 16.9196
O -1.0079 -1.3585 9.8389
O -0.6725 -1.5521 12.7895
O 0.0000 0.0000 7.2181
O -0.6725 1.5521 9.8389
O -1.0079 1.3585 12.7895
O 0.0000 0.0000 15.4103
O 1.6804 -0.1937 9.8389
O 1.6804 0.1937 12.7895
```

Main lines, in order of rising 2θ (5° ≤ 2θ ≤ 70°):
- 22.57 deg, 3.939 Å, intensity 37.7
- 26.42 deg, 3.373 Å, intensity 100.0
- 37.06 deg, 2.426 Å, intensity 37.5
- 38.36 deg, 2.346 Å, intensity 30.5
- 44.40 deg, 2.040 Å, intensity 32.0
- 46.09 deg, 1.970 Å, intensity 17.5

---

[2]
This entry pairs a crystal structure of Sc4HgPdO with its computed powder diffraction line list. Radiation: Cu Kα. Structure: a crystal structure in Alexandria, relaxed with PBE.
Kinematic intensities with the Lorentz-polarization factor, no thermal factor.

Crystal structure
```
14
Lattice="3.0583 -7.1311 0.0000 3.0583 7.1311 0.0000 0.0000 0.0000 6.1323" Properties=species:S:1:pos:R:3 pbc="T T T"
Sc 1.5291 3.5655 0.0000
Sc 1.5291 3.5655 3.0662
Sc 3.0583 6.2077 4.5993
Sc 3.0583 1.1547 4.5993
Sc 1.5291 -3.5655 0.0000
Sc 1.5291 -3.5655 3.0662
Sc 3.0583 -1.1547 1.5331
Sc 3.0583 -6.2077 1.5331
Hg 3.0583 1.6098 1.5331
Hg 3.0583 -1.6098 4.5993
Pd 3.0583 5.4402 1.5331
Pd 3.0583 -5.4402 4.5993
O 3.0583 3.5044 4.5993
O 3.0583 -3.5044 1.5331
```

Main lines, in order of rising 2θ (5° ≤ 2θ ≤ 70°):
- 21.44 deg, 4.144 Å, intensity 60.9
- 27.87 deg, 3.201 Å, intensity 52.6
- 29.16 deg, 3.062 Å, intensity 73.5
- 37.79 deg, 2.381 Å, intensity 48.8
- 38.76 deg, 2.323 Å, intensity 100.0
- 41.71 deg, 2.165 Å, intensity 65.9

---

[3]
This entry pairs a crystal structure of PmPrHgO with its computed powder diffraction line list. Radiation: Cu Kα. Structure: a crystal structure in Alexandria, relaxed with PBE.
Kinematic intensities with the Lorentz-polarization factor, no thermal factor.

Crystal structure
```
4
Lattice="-1.8938 1.9107 6.9033 1.8938 -1.9107 6.9033 1.8938 1.9107 -6.9033" Properties=species:S:1:pos:R:3 pbc="T T T"
Pm 0.0000 0.0000 0.0000
Pr 0.0000 0.0000 9.5946
Hg 0.0000 0.0000 4.8059
O 1.8938 0.0000 1.2959
```

Main lines, in order of rising 2θ (5° ≤ 2θ ≤ 70°):
- 30.40 deg, 2.940 Å, intensity 100.0
- 30.57 deg, 2.925 Å, intensity 97.6
- 33.31 deg, 2.690 Å, intensity 76.1
- 52.32 deg, 1.749 Å, intensity 41.6
- 57.62 deg, 1.600 Å, intensity 32.9
- 57.92 deg, 1.592 Å, intensity 32.6